No. 1
Simulated powder XRD pattern of MgMo3WSe2S6 for copper Kα, from a crystal structure in the Materials Project, relaxed with GGA-PBE.

Most intense lines, 15° ≤ 2θ ≤ 90°, in order of rising 2θ:
32.08 deg, I = 54, hkl 1 0 0
33.66 deg, I = 47, hkl 1 0 5
36.04 deg, I = 82, hkl 0 1 8
38.12 deg, I = 26, hkl 1 0 10
41.85 deg, I = 100, hkl 0 1 13
43.24 deg, I = 24, hkl 0 1 14
44.70 deg, I = 27, hkl 1 0 15
49.40 deg, I = 27, hkl 0 1 18
57.16 deg, I = 40, hkl 1 1 0
58.20 deg, I = 35, hkl 1 1 5

Cell and atoms:
Lattice parameters (Å, degrees): 3.2235 3.2235 44.2432 90.00 90.00 120.00
Positions (direct):
1 Mg 0.0000 0.0000 0.0000
2 Mo 0.3333 0.6667 0.7228
3 Mo 0.6667 0.3333 0.2883
4 Mo 0.6667 0.3333 0.9050
5 W 0.3333 0.6667 0.1058
6 Se 0.3333 0.6667 0.2497
7 Se 0.3333 0.6667 0.3270
8 S 0.3333 0.6667 0.8701
9 S 0.3333 0.6667 0.9405
10 S 0.6667 0.3333 0.0703
11 S 0.6667 0.3333 0.1410
12 S 0.6667 0.3333 0.6877
13 S 0.6667 0.3333 0.7580

No. 2
Simulated powder XRD pattern of Sr2ErBiO6 for copper Kα, from a crystal structure in the Materials Project, relaxed with GGA-PBE.

Most intense lines, 15° ≤ 2θ ≤ 90°, in order of rising 2θ:
21.00 deg, I = 34, hkl 1 1 -1
29.53 deg, I = 24, hkl 0 2 0
29.88 deg, I = 100, hkl 1 1 1
30.16 deg, I = 24, hkl 2 0 -2
42.75 deg, I = 38, hkl 0 0 4
48.11 deg, I = 12, hkl 2 2 -4
52.61 deg, I = 19, hkl 1 3 -3
53.25 deg, I = 11, hkl 2 0 2
53.39 deg, I = 23, hkl 3 1 -5
62.07 deg, I = 15, hkl 2 2 2

Cell and atoms:
Lattice parameters (Å, degrees): 5.9262 6.0494 10.3152 90.00 124.99 90.00
Positions (direct):
1 Sr 0.2395 0.0436 0.2506
2 Sr 0.2395 0.4564 0.7506
3 Sr 0.7605 0.5436 0.2494
4 Sr 0.7605 0.9564 0.7494
5 Er 0.5000 0.0000 0.0000
6 Er 0.5000 0.5000 0.5000
7 Bi 0.0000 0.0000 0.5000
8 Bi 0.0000 0.5000 0.0000
9 O 0.1516 0.2128 0.9508
10 O 0.1516 0.2872 0.4508
11 O 0.2421 0.7029 0.9536
12 O 0.2421 0.7971 0.4536
13 O 0.3343 0.0307 0.7447
14 O 0.3343 0.4693 0.2447
15 O 0.6657 0.5307 0.7553
16 O 0.6657 0.9693 0.2553
17 O 0.7579 0.2029 0.5464
18 O 0.7579 0.2971 0.0464
19 O 0.8484 0.7128 0.5492
20 O 0.8484 0.7872 0.0492

No. 3
Simulated powder XRD pattern of K2Mg5Cu3As6O24 for copper Kα, from a crystal structure in the Materials Project, relaxed with GGA-PBE.

Most intense lines, 15° ≤ 2θ ≤ 90°, in order of rising 2θ:
19.81 deg, I = 25, hkl 1 0 1
23.17 deg, I = 25, hkl -1 2 1
24.53 deg, I = 44, hkl 0 1 2
26.94 deg, I = 100, hkl 2 -1 0
28.17 deg, I = 51, hkl 2 0 0
31.61 deg, I = 67, hkl 0 2 2
31.90 deg, I = 61, hkl 0 1 -3
32.04 deg, I = 62, hkl 0 3 -1
32.99 deg, I = 40, hkl -2 2 2
53.51 deg, I = 29, hkl -4 1 1

Cell and atoms:
Lattice parameters (Å, degrees): 6.9067 8.9043 8.9367 92.45 105.86 106.12
Positions (direct):
1 K 0.0000 0.0000 0.0000
2 K 0.4986 0.9682 0.0303
3 Mg 0.1143 0.6029 0.9540
4 Mg 0.4979 0.2392 0.7595
5 Mg 0.6165 0.9217 0.6384
6 Mg 0.8815 0.0444 0.3932
7 Mg 0.9982 0.7242 0.2730
8 Cu 0.3937 0.3665 0.0842
9 Cu 0.4984 0.4857 0.5137
10 Cu 0.9978 0.4795 0.5176
11 As 0.1193 0.8599 0.6634
12 As 0.3782 0.1064 0.3674
13 As 0.4977 0.6980 0.2989
14 As 0.6210 0.6281 0.8940
15 As 0.8765 0.3344 0.1375
16 As 0.9992 0.2669 0.7313
17 O 0.0096 0.4660 0.7396
18 O 0.0628 0.7067 0.5147
19 O 0.0650 0.3896 0.0426
20 O 0.1235 0.7961 0.8397
21 O 0.1319 0.9740 0.3443
22 O 0.2246 0.2307 0.8395
23 O 0.2720 0.7317 0.1882
24 O 0.3662 0.9909 0.6853
25 O 0.3743 0.1698 0.1882
26 O 0.4271 0.5722 0.9891
27 O 0.4351 0.2594 0.5157
28 O 0.4848 0.4964 0.2928
29 O 0.5097 0.7055 0.4977
30 O 0.5626 0.4812 0.7399
31 O 0.5679 0.0114 0.4203
32 O 0.6210 0.8045 0.8304
33 O 0.6315 0.3098 0.0037
34 O 0.7252 0.8087 0.2658
35 O 0.7708 0.1549 0.7638
36 O 0.8664 0.6532 0.0250
37 O 0.8732 0.1577 0.2020
38 O 0.9269 0.9523 0.6087
39 O 0.9341 0.4828 0.2916
40 O 0.9873 0.2581 0.5322

No. 4
Simulated powder XRD pattern of ErCo4B for copper Kα, from a crystal structure in the Materials Project, relaxed with GGA-PBE.

Most intense lines, 15° ≤ 2θ ≤ 90°, in order of rising 2θ:
20.65 deg, I = 19, hkl 1 0 0
33.46 deg, I = 95, hkl 1 0 2
36.17 deg, I = 34, hkl 1 1 0
42.01 deg, I = 74, hkl 2 0 0
45.11 deg, I = 100, hkl 1 1 2
63.33 deg, I = 30, hkl 2 1 2
66.34 deg, I = 15, hkl 1 1 4
70.30 deg, I = 18, hkl 2 0 4
71.31 deg, I = 27, hkl 3 0 2
76.75 deg, I = 20, hkl 2 2 0

Cell and atoms:
Lattice parameters (Å, degrees): 4.9672 4.9672 6.8438 90.00 90.00 120.00
Positions (direct):
1 Er 0.0000 0.0000 0.0000
2 Er 0.0000 0.0000 0.5000
3 Co 0.0000 0.5000 0.2119
4 Co 0.0000 0.5000 0.7881
5 Co 0.3333 0.6667 0.5000
6 Co 0.5000 0.0000 0.2119
7 Co 0.5000 0.0000 0.7881
8 Co 0.5000 0.5000 0.2119
9 Co 0.5000 0.5000 0.7881
10 Co 0.6667 0.3333 0.5000
11 B 0.3333 0.6667 0.0000
12 B 0.6667 0.3333 0.0000

No. 5
Simulated powder XRD pattern of Nd3UCl3O6 for copper Kα, from a crystal structure in the Materials Project, relaxed with GGA-PBE.

Most intense lines, 15° ≤ 2θ ≤ 90°, in order of rising 2θ:
24.67 deg, I = 45, hkl 1 1 1
27.00 deg, I = 57, hkl 2 0 1
28.83 deg, I = 28, hkl 1 2 0
32.07 deg, I = 29, hkl 0 0 2
32.79 deg, I = 19, hkl 3 0 0
33.08 deg, I = 100, hkl 1 2 1
43.66 deg, I = 34, hkl 1 2 2
46.53 deg, I = 22, hkl 3 0 2
51.29 deg, I = 33, hkl 3 2 1
57.82 deg, I = 20, hkl 1 2 3

Cell and atoms:
Lattice parameters (Å, degrees): 9.4606 9.4606 5.5811 90.00 90.00 120.00
Positions (direct):
1 Nd 0.0903 0.6852 0.2500
2 Nd 0.3148 0.4052 0.2500
3 Nd 0.4052 0.0903 0.7500
4 Nd 0.5948 0.9097 0.2500
5 Nd 0.6852 0.5948 0.7500
6 Nd 0.9097 0.3148 0.7500
7 U 0.3333 0.6667 0.7500
8 U 0.6667 0.3333 0.2500
9 Cl 0.0592 0.8116 0.7500
10 Cl 0.1884 0.2477 0.7500
11 Cl 0.2477 0.0592 0.2500
12 Cl 0.7523 0.9408 0.7500
13 Cl 0.8116 0.7523 0.2500
14 Cl 0.9408 0.1884 0.2500
15 O 0.1508 0.5163 0.5057
16 O 0.1508 0.5163 0.9943
17 O 0.3655 0.8492 0.5057
18 O 0.3655 0.8492 0.9943
19 O 0.4837 0.6345 0.5057
20 O 0.4837 0.6345 0.9943
21 O 0.5163 0.3655 0.0057
22 O 0.5163 0.3655 0.4943
23 O 0.6345 0.1508 0.0057
24 O 0.6345 0.1508 0.4943
25 O 0.8492 0.4837 0.0057
26 O 0.8492 0.4837 0.4943